Li2NbWO6: theoretical powder diffraction line list (Cu Ka), based on the PBE+U geometry in Alexandria.

The 10 most intense peaks (5° ≤ 2θ ≤ 70°), in order of rising 2θ:
Position (°2θ), I/Imax, (hkl)
21.90, 55, 0 0 1
22.28, 100, 1 1 0
31.44, 54, 1 1 1
31.71, 29, 2 0 0
38.87, 19, 2 0 1
45.46, 24, 2 2 0
50.45, 23, 1 1 2
51.00, 22, 2 2 1
51.18, 20, 3 1 0
56.31, 22, 3 1 1

Cell and atoms:
Cell lengths 5.644, 5.644, 4.059 Å; angles 90.00, 90.00, 90.00 degrees
Element x y z (fractional)
Li (0.000, 0.500, 0.000)
Li (0.500, 0.000, 0.000)
Nb (0.000, 0.000, 0.780)
W (0.500, 0.500, 0.775)
O (0.000, 0.000, 0.333)
O (0.250, 0.250, 0.853)
O (0.250, 0.750, 0.853)
O (0.500, 0.500, 0.325)
O (0.750, 0.250, 0.853)
O (0.750, 0.750, 0.853)